No. 1
Calculated X-ray diffraction stick pattern
Compound: Sm7HoSc3
Radiation: CuKα
Structure: a crystal structure in Alexandria, relaxed with GGA-PBE
No peak broadening, texture or thermal motion is included.

Peak list (10 most intense, 2θ from 10° to 90°, sorted by position)
2θ/deg  I (rel.)
22.91  27
26.13  46
28.37  35
30.91  68
31.83  36
33.00  49
33.47  100
40.91  29
44.96  29
57.99  26

Cell and atoms:
Cell lengths 8.294, 8.294, 8.294 Å; angles 139.17, 99.36, 94.63 degrees
Fractional coordinates of all 11 atoms:
Sm 0.000 0.000 0.000
Sm 0.102 0.790 0.312
Sm 0.303 0.500 0.803
Sm 0.478 0.790 0.688
Sm 0.522 0.210 0.312
Sm 0.697 0.500 0.197
Sm 0.898 0.210 0.688
Ho 0.000 0.500 0.500
Sc 0.289 0.289 0.000
Sc 0.500 0.000 0.500
Sc 0.711 0.711 0.000


No. 2
Calculated X-ray diffraction stick pattern
Compound: MgHgBi
Radiation: CuKα
Structure: a crystal structure in Alexandria, relaxed with GGA-PBE
No peak broadening, texture or thermal motion is included.

Peak list (10 most intense, 2θ from 10° to 90°, sorted by position)
2θ/deg  I (rel.)
20.69  23
22.42  21
25.30  14
27.88  31
33.29  100
35.51  25
40.33  16
43.81  17
55.96  19
65.42  15

Cell and atoms:
Cell lengths 4.133, 5.417, 7.332 Å; angles 90.00, 106.20, 90.00 degrees
Fractional coordinates of all 6 atoms:
Mg 0.086 0.000 0.174
Mg 0.914 0.500 0.826
Hg 0.441 0.912 0.882
Hg 0.559 0.412 0.118
Bi 0.234 0.560 0.470
Bi 0.766 0.060 0.530


No. 3
Calculated X-ray diffraction stick pattern
Compound: Tl5Hg2Br5
Radiation: CuKα
Structure: a crystal structure in Alexandria, relaxed with GGA-PBE
No peak broadening, texture or thermal motion is included.

Peak list (10 most intense, 2θ from 10° to 90°, sorted by position)
2θ/deg  I (rel.)
13.43  31
15.95  26
20.90  96
24.51  24
31.00  30
31.55  100
32.21  63
33.60  47
37.58  26
55.80  30

Cell and atoms:
Cell lengths 8.863, 8.863, 8.863 Å; angles 102.33, 102.33, 124.94 degrees
Fractional coordinates of all 12 atoms:
Tl 0.000 0.000 0.000
Tl 0.159 0.422 0.737
Tl 0.422 0.159 0.737
Tl 0.422 0.686 0.263
Tl 0.686 0.422 0.263
Hg 0.178 0.678 0.500
Hg 0.678 0.178 0.500
Br 0.357 0.357 0.390
Br 0.357 0.967 0.000
Br 0.574 0.574 0.000
Br 0.967 0.357 0.000
Br 0.967 0.967 0.610


No. 4
Calculated X-ray diffraction stick pattern
Compound: TmZr3Zn4
Radiation: CuKα
Structure: a crystal structure in Alexandria, relaxed with GGA-PBE
No peak broadening, texture or thermal motion is included.

Peak list (10 most intense, 2θ from 10° to 90°, sorted by position)
2θ/deg  I (rel.)
11.33  2
21.79  2
22.78  2
26.36  6
37.62  100
46.52  2
54.26  17
61.31  2
67.90  33
80.32  10

Cell and atoms:
Cell lengths 8.281, 8.281, 8.281 Å; angles 33.56, 33.56, 33.56 degrees
Fractional coordinates of all 8 atoms:
Tm 0.000 0.000 0.000
Zr 0.248 0.248 0.248
Zr 0.500 0.500 0.500
Zr 0.752 0.752 0.752
Zn 0.125 0.125 0.125
Zn 0.375 0.375 0.375
Zn 0.625 0.625 0.625
Zn 0.875 0.875 0.875


No. 5
Calculated X-ray diffraction stick pattern
Compound: La9Sm3Y2
Radiation: CuKα
Structure: a crystal structure in Alexandria, relaxed with GGA-PBE
No peak broadening, texture or thermal motion is included.

Peak list (10 most intense, 2θ from 10° to 90°, sorted by position)
2θ/deg  I (rel.)
24.88  34
29.38  56
30.63  73
31.81  19
32.54  100
33.30  22
35.51  27
52.66  24
53.22  26
59.61  17

Cell and atoms:
Cell lengths 9.107, 9.107, 14.312 Å; angles 90.00, 90.00, 120.00 degrees
Fractional coordinates of all 28 atoms:
La 0.074 0.487 0.250
La 0.131 0.738 0.043
La 0.131 0.738 0.457
La 0.262 0.393 0.043
La 0.262 0.393 0.457
La 0.393 0.131 0.543
La 0.393 0.131 0.957
La 0.413 0.926 0.250
La 0.487 0.413 0.750
La 0.513 0.587 0.250
La 0.587 0.074 0.750
La 0.607 0.869 0.043
La 0.607 0.869 0.457
La 0.738 0.607 0.543
La 0.738 0.607 0.957
La 0.869 0.262 0.543
La 0.869 0.262 0.957
La 0.926 0.513 0.750
Sm 0.085 0.249 0.750
Sm 0.164 0.915 0.750
Sm 0.249 0.164 0.250
Sm 0.751 0.836 0.750
Sm 0.836 0.085 0.250
Sm 0.915 0.751 0.250
Y 0.333 0.667 0.640
Y 0.333 0.667 0.860
Y 0.667 0.333 0.140
Y 0.667 0.333 0.360